1.
BaTaTi3: simulated PXRD pattern (CuKα), based on the GGA-PBE geometry in Alexandria.
Kinematic intensities with the Lorentz-polarization factor, no thermal factor.

Top 10 peaks for 5 to 70 degrees two-theta, sorted by position:
two_theta, intensity
17.50, 15
24.85, 100
30.56, 6
35.43, 60
39.78, 8
43.76, 45
50.97, 41
57.51, 21
63.61, 14
69.40, 24

Structural model:
Lattice parameters (Å, degrees): 5.067 5.067 5.067 90.00 90.00 90.00
Space group Pm-3m (No. 221)
Inequivalent atoms, fractional coordinates:
Ba: 0.000 0.000 0.000 [1 per cell]
Ta: 0.500 0.500 0.500 [1 per cell]
Ti: 0.000 0.500 0.500 [3 per cell]

2.
Y2TlNiC: simulated PXRD pattern (CuKα), based on the GGA-PBE geometry in Alexandria.
Kinematic intensities with the Lorentz-polarization factor, no thermal factor.

Top 10 peaks for 5 to 70 degrees two-theta, sorted by position:
two_theta, intensity
17.32, 20
29.47, 16
34.38, 100
35.04, 52
39.34, 6
46.42, 10
48.42, 10
50.40, 18
61.16, 20
62.44, 35

Structural model:
Lattice parameters (Å, degrees): 5.121 5.121 3.760 90.00 90.00 90.00
Space group P4/mmm (No. 123)
Inequivalent atoms, fractional coordinates:
Y: 0.000 0.500 0.000 [2 per cell]
Tl: 0.000 0.000 0.500 [1 per cell]
Ni: 0.500 0.500 0.500 [1 per cell]
C: 0.500 0.500 0.000 [1 per cell]

3.
Tb2SmEr4Tm: simulated PXRD pattern (CuKα), based on the GGA-PBE geometry in Alexandria.
Kinematic intensities with the Lorentz-polarization factor, no thermal factor.

Top 5 peaks for 5 to 70 degrees two-theta, sorted by position:
two_theta, intensity
31.03, 100
35.98, 51
51.79, 36
61.61, 43
64.68, 12

Structural model:
Lattice parameters (Å, degrees): 4.992 4.992 9.987 90.00 90.00 90.00
Space group P4/mmm (No. 123)
Inequivalent atoms, fractional coordinates:
Tb: 0.000 0.000 0.000 [1 per cell]
Tb: 0.500 0.500 0.500 [1 per cell]
Sm: 0.000 0.000 0.500 [1 per cell]
Er: 0.000 0.500 0.248 [4 per cell]
Tm: 0.500 0.500 0.000 [1 per cell]

4.
Ba6Sb2Rh: simulated PXRD pattern (CuKα), based on the GGA-PBE geometry in Alexandria.
Kinematic intensities with the Lorentz-polarization factor, no thermal factor.

Top 10 peaks for 5 to 70 degrees two-theta, sorted by position:
two_theta, intensity
23.31, 29
24.63, 88
27.56, 31
28.04, 30
28.40, 100
28.61, 35
29.38, 61
29.75, 90
44.35, 28
47.68, 30

Structural model:
Lattice parameters (Å, degrees): 7.848 10.706 11.110 90.00 122.30 90.00
Space group P2_1/c (No. 14)
Inequivalent atoms, fractional coordinates:
Ba: 0.129 0.127 0.455 [4 per cell]
Ba: 0.302 0.741 0.432 [4 per cell]
Ba: 0.350 0.036 0.185 [4 per cell]
Sb: 0.203 0.101 0.806 [4 per cell]
Rh: 0.500 0.000 0.500 [2 per cell]